# 1
Diffraction record for Cs2AgSbCl6. The powder XRD pattern is calculated, not measured: it uses the GGA-PBE geometry in the Materials Project and Cu Kα, 1.54184 Å.
Neutral-atom scattering factors, no anomalous dispersion.

Main lines, by angle (2θ from 10° to 80°):
23.18°, 3.837 Å, I 100; 28.49°, 3.133 Å, I 14; 33.02°, 2.713 Å, I 58; 40.73°, 2.215 Å, I 46; 47.39°, 1.918 Å, I 40; 53.40°, 1.716 Å, I 21; 56.23°, 1.636 Å, I 5; 58.97°, 1.566 Å, I 13; 64.23°, 1.450 Å, I 24; 69.27°, 1.356 Å, I 6; 74.14°, 1.279 Å, I 12; 78.90°, 1.213 Å, I 17

abc: 7.6732 7.6732 7.6732
angles: 60.00 60.00 60.00
Element x y z (fractional)
1 Cs 0.2500 0.2500 0.2500
2 Cs 0.7500 0.7500 0.7500
3 Ag 0.0000 0.0000 0.0000
4 Sb 0.5000 0.5000 0.5000
5 Cl 0.2536 0.2536 0.7464
6 Cl 0.2536 0.7464 0.2536
7 Cl 0.2536 0.7464 0.7464
8 Cl 0.7464 0.2536 0.2536
9 Cl 0.7464 0.2536 0.7464
10 Cl 0.7464 0.7464 0.2536

***

# 2
Diffraction record for ZnH2O2. The powder XRD pattern is calculated, not measured: it uses the GGA-PBE geometry in the Materials Project and Cu Kα, 1.54184 Å.
Neutral-atom scattering factors, no anomalous dispersion.

Main lines, by angle (2θ from 10° to 80°):
19.39°, 4.578 Å, I 100; 31.39°, 2.850 Å, I 44; 36.91°, 2.435 Å, I 14; 37.42°, 2.404 Å, I 76; 37.54°, 2.396 Å, I 31; 50.79°, 1.797 Å, I 18; 51.09°, 1.788 Å, I 13; 51.58°, 1.772 Å, I 20; 52.64°, 1.739 Å, I 11; 57.16°, 1.611 Å, I 18; 60.43°, 1.532 Å, I 13; 69.42°, 1.354 Å, I 14

abc: 3.2258 3.2258 4.5800
angles: 91.39 91.39 62.06
Element x y z (fractional)
1 Zn 0.0000 0.0000 0.0000
2 H 0.4544 0.1106 0.5690
3 H 0.8894 0.5456 0.4310
4 O 0.3531 0.2538 0.7635
5 O 0.7462 0.6469 0.2365

***

# 3
Diffraction record for K2La2MgTi3O10. The powder XRD pattern is calculated, not measured: it uses the GGA-PBE geometry in the Materials Project and Cu Kα, 1.54184 Å.
Neutral-atom scattering factors, no anomalous dispersion.

Main lines, by angle (2θ from 10° to 80°):
22.64°, 3.927 Å, I 25; 31.19°, 2.868 Å, I 100; 31.93°, 2.803 Å, I 62; 35.86°, 2.504 Å, I 38; 40.65°, 2.220 Å, I 45; 45.78°, 1.982 Å, I 52; 55.03°, 1.669 Å, I 19; 56.44°, 1.630 Å, I 37; 59.48°, 1.554 Å, I 17; 65.05°, 1.434 Å, I 14; 66.75°, 1.401 Å, I 15; 70.27°, 1.339 Å, I 13

abc: 14.8075 14.8075 14.8075
angles: 164.62 164.62 21.82
Element x y z (fractional)
1 K 0.1893 0.1893 0.0000
2 K 0.8107 0.8107 0.0000
3 La 0.0695 0.0695 0.0000
4 La 0.9305 0.9305 0.0000
5 Mg 0.2500 0.7500 0.5000
6 Ti 0.3643 0.3643 0.0000
7 Ti 0.5000 0.5000 0.0000
8 Ti 0.6357 0.6357 0.0000
9 O 0.0000 0.5000 0.5000
10 O 0.1318 0.6318 0.5000
11 O 0.2868 0.2868 0.0000
12 O 0.3682 0.8682 0.5000
13 O 0.4323 0.4323 0.0000
14 O 0.5000 0.0000 0.5000
15 O 0.5677 0.5677 0.0000
16 O 0.6290 0.1290 0.5000
17 O 0.7132 0.7132 0.0000
18 O 0.8710 0.3710 0.5000

***

Number 1 is which compound?
Cs2AgSbCl6